Entry 1:
The following is a calculated powder XRD pattern of MgNb2Co2O8. It was derived from DFT lattice parameters and positions (PBE+U), using copper Kα.
Kinematic intensities with the Lorentz-polarization factor, no thermal factor.

Peak list (10 most intense, 2θ = 10–80°, sorted by position)
- 12.63 deg, d 7.011, rel. 447
- 16.32 deg, d 5.431, rel. 448
- 23.93 deg, d 3.719, rel. 1000
- 25.41 deg, d 3.505, rel. 459
- 28.35 deg, d 3.148, rel. 384
- 31.78 deg, d 2.816, rel. 326
- 38.53 deg, d 2.337, rel. 379
- 42.54 deg, d 2.125, rel. 296
- 46.52 deg, d 1.952, rel. 377
- 55.72 deg, d 1.650, rel. 302

Cell: 6.6680 6.6680 7.3080 Å, 105.67 105.67 34.05°
Atoms (fractional coordinates):
1 Mg 0.0000 0.0000 0.0000
2 Nb 0.2238 0.2238 0.2637
3 Nb 0.4187 0.4187 0.6720
4 Co 0.1371 0.1371 0.7058
5 Co 0.5373 0.5373 0.3430
6 O 0.0609 0.0609 0.2811
7 O 0.1702 0.1702 0.9956
8 O 0.2632 0.2632 0.5958
9 O 0.3822 0.3822 0.3616
10 O 0.4530 0.4530 0.9503
11 O 0.5772 0.5772 0.6333
12 O 0.7060 0.7060 0.2965
13 O 0.9503 0.9503 0.7053

Entry 2:
The following is a calculated powder XRD pattern of Li4Cr3FeO8. It was derived from DFT lattice parameters and positions (PBE+U), using copper Kα.
Kinematic intensities with the Lorentz-polarization factor, no thermal factor.

Peak list (10 most intense, 2θ = 10–80°, sorted by position)
- 18.36 deg, d 4.833, rel. 1000
- 35.77 deg, d 2.510, rel. 266
- 35.85 deg, d 2.505, rel. 132
- 37.42 deg, d 2.403, rel. 114
- 43.42 deg, d 2.084, rel. 791
- 47.51 deg, d 1.914, rel. 124
- 57.34 deg, d 1.607, rel. 138
- 62.94 deg, d 1.477, rel. 207
- 63.29 deg, d 1.469, rel. 143
- 66.51 deg, d 1.406, rel. 90

Cell: 5.1222 7.7705 7.7907 Å, 81.87 83.79 71.02°
Atoms (fractional coordinates):
1 Li 0.0000 0.0000 0.0000
2 Li 0.9996 0.1249 0.6256
3 Li 0.0000 0.5000 0.5000
4 Li 0.0004 0.8751 0.3744
5 Li 0.0011 0.3757 0.8715
6 Li 0.0010 0.7492 0.7508
7 Li 0.9990 0.2508 0.2492
8 Li 0.9989 0.6243 0.1285
9 Cr 0.4998 0.0643 0.8120
10 Cr 0.5001 0.1904 0.4376
11 Cr 0.4997 0.3145 0.0615
12 Cr 0.5003 0.6855 0.9385
13 Cr 0.4999 0.8096 0.5624
14 Cr 0.5002 0.9357 0.1880
15 Fe 0.4999 0.4383 0.6856
16 Fe 0.5001 0.5617 0.3144
17 O 0.2734 0.1516 0.0306
18 O 0.2737 0.0266 0.4058
19 O 0.2736 0.9012 0.7809
20 O 0.2755 0.5253 0.9006
21 O 0.2760 0.7717 0.1587
22 O 0.2765 0.2799 0.6550
23 O 0.2767 0.4045 0.2806
24 O 0.2774 0.6464 0.5293
25 O 0.7226 0.3536 0.4707
26 O 0.7233 0.5955 0.7194
27 O 0.7235 0.7201 0.3450
28 O 0.7240 0.2283 0.8413
29 O 0.7245 0.4747 0.0994
30 O 0.7264 0.0988 0.2191
31 O 0.7263 0.9734 0.5942
32 O 0.7266 0.8484 0.9694

Entry 3:
The following is a calculated powder XRD pattern of MgMnCo3O8. It was derived from DFT lattice parameters and positions (PBE+U), using copper Kα.
Kinematic intensities with the Lorentz-polarization factor, no thermal factor.

Peak list (10 most intense, 2θ = 10–80°, sorted by position)
- 18.19 deg, d 4.876, rel. 1000
- 35.14 deg, d 2.554, rel. 108
- 36.05 deg, d 2.492, rel. 100
- 36.36 deg, d 2.471, rel. 221
- 42.81 deg, d 2.112, rel. 131
- 43.07 deg, d 2.100, rel. 88
- 46.18 deg, d 1.966, rel. 95
- 47.03 deg, d 1.932, rel. 108
- 48.86 deg, d 1.864, rel. 92
- 65.00 deg, d 1.435, rel. 86

Cell: 2.8729 2.9694 19.5566 Å, 92.35 91.96 118.71°
Atoms (fractional coordinates):
1 Mg 0.0000 0.0000 0.0000
2 Mn 0.8555 0.7784 0.8601
3 Co 0.3474 0.1021 0.6189
4 Co 0.3661 0.6598 0.1305
5 Co 0.8442 0.3510 0.3709
6 O 0.0372 0.4603 0.6650
7 O 0.0518 0.0111 0.1717
8 O 0.1988 0.0380 0.4169
9 O 0.2909 0.6169 0.9319
10 O 0.4896 0.0701 0.8136
11 O 0.4896 0.6643 0.3249
12 O 0.6575 0.7439 0.5729
13 O 0.6977 0.3701 0.0569

Entry 4:
The following is a calculated powder XRD pattern of MgMn6Nb4O18. It was derived from DFT lattice parameters and positions (PBE+U), using copper Kα.
Kinematic intensities with the Lorentz-polarization factor, no thermal factor.

Peak list (10 most intense, 2θ = 10–80°, sorted by position)
- 18.35 deg, d 4.835, rel. 935
- 19.05 deg, d 4.659, rel. 757
- 19.21 deg, d 4.621, rel. 620
- 23.79 deg, d 3.741, rel. 809
- 28.40 deg, d 3.142, rel. 1000
- 29.50 deg, d 3.028, rel. 483
- 32.35 deg, d 2.768, rel. 547
- 32.56 deg, d 2.750, rel. 474
- 33.22 deg, d 2.697, rel. 842
- 33.90 deg, d 2.644, rel. 558

Cell: 5.3720 5.5228 15.2909 Å, 83.14 79.89 61.19°
Atoms (fractional coordinates):
1 Mg 0.0000 0.0000 0.0000
2 Mn 0.3910 0.0818 0.5544
3 Mn 0.4557 0.0681 0.1137
4 Mn 0.5849 0.6001 0.0277
5 Mn 0.7195 0.3522 0.7273
6 Mn 0.7338 0.4267 0.5282
7 Mn 0.7574 0.3686 0.2310
8 Nb 0.0100 0.7335 0.6844
9 Nb 0.0470 0.6117 0.8796
10 Nb 0.0826 0.6946 0.2171
11 Nb 0.1148 0.7753 0.4189
12 O 0.0036 0.4094 0.6339
13 O 0.0553 0.3762 0.2780
14 O 0.1045 0.0754 0.4671
15 O 0.1461 0.9458 0.1149
16 O 0.2913 0.6542 0.9444
17 O 0.3341 0.4168 0.7837
18 O 0.3614 0.6432 0.3017
19 O 0.3676 0.7139 0.6290
20 O 0.3736 0.4603 0.4790
21 O 0.4924 0.3921 0.1463
22 O 0.6949 0.9177 0.9836
23 O 0.7286 0.0777 0.6343
24 O 0.7667 0.7771 0.4704
25 O 0.7720 0.6040 0.7854
26 O 0.7828 0.6807 0.1563
27 O 0.8380 0.0016 0.2921
28 O 0.9436 0.9498 0.7906
29 O 0.9650 0.3472 0.9528

Entry 5:
The following is a calculated powder XRD pattern of ScTlMo2O8. It was derived from DFT lattice parameters and positions (PBE+U), using copper Kα.
Kinematic intensities with the Lorentz-polarization factor, no thermal factor.

Peak list (10 most intense, 2θ = 10–80°, sorted by position)
- 18.95 deg, d 4.683, rel. 236
- 21.37 deg, d 4.158, rel. 199
- 22.85 deg, d 3.891, rel. 419
- 25.05 deg, d 3.555, rel. 1000
- 27.43 deg, d 3.251, rel. 826
- 29.48 deg, d 3.030, rel. 328
- 30.22 deg, d 2.957, rel. 555
- 30.80 deg, d 2.903, rel. 231
- 33.39 deg, d 2.684, rel. 284
- 46.59 deg, d 1.949, rel. 311

Cell: 15.3293 5.9154 9.0340 Å, 90.00 90.00 90.00°
Atoms (fractional coordinates):
1 Sc 0.1130 0.2500 0.1934
2 Sc 0.3870 0.7500 0.6934
3 Sc 0.6130 0.2500 0.3066
4 Sc 0.8870 0.7500 0.8066
5 Tl 0.1256 0.7500 0.5614
6 Tl 0.3744 0.2500 0.0614
7 Tl 0.6256 0.7500 0.9386
8 Tl 0.8744 0.2500 0.4386
9 Mo 0.0359 0.2500 0.7901
10 Mo 0.2173 0.7500 0.9978
11 Mo 0.2827 0.2500 0.4978
12 Mo 0.4641 0.7500 0.2901
13 Mo 0.5359 0.2500 0.7099
14 Mo 0.7173 0.7500 0.5022
15 Mo 0.7827 0.2500 0.0022
16 Mo 0.9641 0.7500 0.2099
17 O 0.0256 0.5032 0.2715
18 O 0.0256 0.9968 0.2715
19 O 0.0499 0.2500 0.9872
20 O 0.1361 0.7500 0.8626
21 O 0.1377 0.2500 0.7014
22 O 0.1799 0.2500 0.3964
23 O 0.2006 0.0049 0.1067
24 O 0.2006 0.4951 0.1067
25 O 0.2994 0.5049 0.6067
26 O 0.2994 0.9951 0.6067
27 O 0.3201 0.7500 0.8964
28 O 0.3623 0.7500 0.2014
29 O 0.3639 0.2500 0.3626
30 O 0.4501 0.7500 0.4872
31 O 0.4744 0.0032 0.7715
32 O 0.4744 0.4968 0.7715
33 O 0.5256 0.5032 0.2285
34 O 0.5256 0.9968 0.2285
35 O 0.5499 0.2500 0.5128
36 O 0.6361 0.7500 0.6374
37 O 0.6377 0.2500 0.7986
38 O 0.6799 0.2500 0.1036
39 O 0.7006 0.0049 0.3933
40 O 0.7006 0.4951 0.3933
41 O 0.7994 0.5049 0.8933
42 O 0.7994 0.9951 0.8933
43 O 0.8201 0.7500 0.6036
44 O 0.8623 0.7500 0.2986
45 O 0.8639 0.2500 0.1374
46 O 0.9501 0.7500 0.0128
47 O 0.9744 0.0032 0.7285
48 O 0.9744 0.4968 0.7285

Entry 6:
The following is a calculated powder XRD pattern of Li9Mn2Co5O16. It was derived from DFT lattice parameters and positions (PBE+U), using copper Kα.
Kinematic intensities with the Lorentz-polarization factor, no thermal factor.

Peak list (10 most intense, 2θ = 10–80°, sorted by position)
- 18.36 deg, d 4.833, rel. 1000
- 34.83 deg, d 2.576, rel. 181
- 35.98 deg, d 2.496, rel. 137
- 36.72 deg, d 2.448, rel. 113
- 37.25 deg, d 2.414, rel. 87
- 41.89 deg, d 2.157, rel. 322
- 43.66 deg, d 2.073, rel. 276
- 44.82 deg, d 2.022, rel. 250
- 62.10 deg, d 1.495, rel. 160
- 64.78 deg, d 1.439, rel. 92

Cell: 2.9916 10.0094 10.1132 Å, 107.01 91.08 91.61°
Atoms (fractional coordinates):
1 Li 0.0000 0.0000 0.0000
2 Li 0.0002 0.4965 0.0030
3 Li 0.0066 0.7443 0.7442
4 Li 0.4770 0.7534 0.0005
5 Li 0.4871 0.7482 0.5153
6 Li 0.4961 0.2483 0.0029
7 Li 0.5072 0.2454 0.5001
8 Li 0.9732 0.5095 0.5121
9 Li 0.9943 0.9995 0.5070
10 Mn 0.4786 0.5042 0.7543
11 Mn 0.4906 0.5000 0.2551
12 Co 0.0016 0.2476 0.2549
13 Co 0.4933 0.9987 0.2534
14 Co 0.5055 0.9906 0.7547
15 Co 0.9819 0.2492 0.7579
16 Co 0.9837 0.7511 0.2536
17 O 0.0049 0.1248 0.3724
18 O 0.0347 0.3706 0.1371
19 O 0.0423 0.8879 0.6395
20 O 0.4513 0.3706 0.8671
21 O 0.4718 0.6256 0.1393
22 O 0.4883 0.6123 0.6363
23 O 0.4915 0.1228 0.1394
24 O 0.4968 0.8767 0.3682
25 O 0.4973 0.8909 0.8690
26 O 0.5126 0.3715 0.3680
27 O 0.5237 0.1251 0.6472
28 O 0.9444 0.6294 0.3719
29 O 0.9642 0.1233 0.8659
30 O 0.9702 0.3814 0.6505
31 O 0.9821 0.8730 0.1347
32 O 0.9907 0.6072 0.8632

Entry 7:
The following is a calculated powder XRD pattern of LiTiFe5O8. It was derived from DFT lattice parameters and positions (PBE+U), using copper Kα.
Kinematic intensities with the Lorentz-polarization factor, no thermal factor.

Peak list (10 most intense, 2θ = 10–80°, sorted by position)
- 29.84 deg, d 2.994, rel. 512
- 33.81 deg, d 2.652, rel. 1000
- 33.97 deg, d 2.639, rel. 597
- 34.45 deg, d 2.603, rel. 579
- 34.99 deg, d 2.564, rel. 451
- 35.20 deg, d 2.550, rel. 482
- 41.18 deg, d 2.192, rel. 376
- 42.70 deg, d 2.118, rel. 498
- 56.83 deg, d 1.620, rel. 382
- 61.99 deg, d 1.497, rel. 668

Cell: 5.9899 6.0012 6.2321 Å, 115.92 92.06 119.63°
Atoms (fractional coordinates):
1 Li 0.0000 0.0000 0.0000
2 Ti 0.5000 0.5000 0.0000
3 Fe 0.0000 0.5000 0.0000
4 Fe 0.1557 0.2633 0.4410
5 Fe 0.5000 0.0000 0.0000
6 Fe 0.5000 0.0000 0.5000
7 Fe 0.8443 0.7367 0.5590
8 O 0.2476 0.9655 0.2300
9 O 0.2563 0.4770 0.2179
10 O 0.2578 0.5302 0.8026
11 O 0.2613 0.0543 0.7710
12 O 0.7387 0.9457 0.2290
13 O 0.7422 0.4698 0.1974
14 O 0.7437 0.5230 0.7821
15 O 0.7524 0.0345 0.7700